# Mn4Cu3BiO12
Theoretical XRD peak list, copper Kα. Input: a cell relaxed with PBE+U.
Peak positions follow from Bragg's law for the DFT cell and can differ from measured ones.

The 10 most intense peaks (15° ≤ 2θ ≤ 90°), in order of rising 2θ:
| Position (°2θ) | I_rel |
| --- | --- |
| 16.77 | 27 |
| 23.80 | 10 |
| 29.25 | 11 |
| 33.90 | 100 |
| 38.01 | 10 |
| 45.35 | 11 |
| 48.64 | 16 |
| 60.62 | 32 |
| 60.75 | 16 |
| 81.27 | 11 |

Crystal structure
Unit cell a=6.4765 b=6.4765 c=6.4765 alpha=109.68 beta=109.38 gamma=109.35
Fractional coordinates of all 20 atoms:
Mn  0.0000  0.0000  0.5000
Mn  0.0000  0.5000  0.0000
Mn  0.5000  0.0000  0.0000
Mn  0.5000  0.5000  0.5000
Cu  0.0000  0.0000  0.0000
Cu  0.5000  0.0000  0.5000
Cu  0.5000  0.5000  0.0000
Bi  0.0000  0.5000  0.5000
O  0.1383  0.8089  0.3295
O  0.1704  0.3612  0.1908
O  0.1704  0.9796  0.8092
O  0.3098  0.3300  0.6398
O  0.3098  0.6700  0.9797
O  0.4794  0.8089  0.6705
O  0.5206  0.1911  0.3295
O  0.6902  0.3300  0.0203
O  0.6902  0.6700  0.3602
O  0.8296  0.0204  0.1908
O  0.8296  0.6388  0.8092
O  0.8617  0.1911  0.6705

***

# Mn4Cu3BiO12
Theoretical XRD peak list, copper Kα. Input: a cell relaxed with PBE+U.
Peak positions follow from Bragg's law for the DFT cell and can differ from measured ones.

The 10 most intense peaks (15° ≤ 2θ ≤ 90°), in order of rising 2θ:
| Position (°2θ) | I_rel |
| --- | --- |
| 16.62 | 42 |
| 17.13 | 24 |
| 33.57 | 100 |
| 33.65 | 50 |
| 34.05 | 45 |
| 34.65 | 88 |
| 46.99 | 25 |
| 50.08 | 22 |
| 59.37 | 23 |
| 60.01 | 24 |

Crystal structure
Unit cell a=6.4273 b=6.4358 c=6.4900 alpha=106.48 beta=111.32 gamma=110.23
Fractional coordinates of all 20 atoms:
Mn  0.0000  0.0000  0.0000
Mn  0.0000  0.5000  0.5000
Mn  0.5000  0.0000  0.5000
Mn  0.5000  0.5000  0.0000
Cu  0.0000  0.0000  0.5000
Cu  0.0000  0.5000  0.0000
Cu  0.5000  0.0000  0.0000
Bi  0.5000  0.5000  0.5000
O  0.0134  0.2002  0.3393
O  0.1958  0.3290  0.0245
O  0.1969  0.6671  0.3617
O  0.3203  0.6279  0.8022
O  0.3264  0.0220  0.1983
O  0.3596  0.1690  0.6556
O  0.6404  0.8310  0.3444
O  0.6736  0.9780  0.8017
O  0.6797  0.3721  0.1978
O  0.8031  0.3329  0.6383
O  0.8042  0.6710  0.9755
O  0.9866  0.7998  0.6607

***

# V2Cu2BiO8
Theoretical XRD peak list, copper Kα. Input: a cell relaxed with PBE+U.
Peak positions follow from Bragg's law for the DFT cell and can differ from measured ones.

The 10 most intense peaks (15° ≤ 2θ ≤ 90°), in order of rising 2θ:
| Position (°2θ) | I_rel |
| --- | --- |
| 25.72 | 31 |
| 25.84 | 30 |
| 28.64 | 100 |
| 29.13 | 98 |
| 30.19 | 55 |
| 35.29 | 43 |
| 35.45 | 86 |
| 35.53 | 41 |
| 47.82 | 23 |
| 48.59 | 30 |

Crystal structure
Unit cell a=3.1095 b=7.0632 c=7.0943 alpha=86.27 beta=77.61 gamma=77.51
Fractional coordinates of all 13 atoms:
V  0.0000  0.0000  0.0000
V  0.4777  0.3421  0.7008
Cu  0.2887  0.0463  0.3753
Cu  0.8081  0.7152  0.6650
Bi  0.6905  0.5238  0.1892
O  0.0911  0.2387  0.5777
O  0.1699  0.8298  0.8170
O  0.4638  0.5614  0.5240
O  0.4720  0.1562  0.8999
O  0.4945  0.8687  0.1427
O  0.7954  0.1863  0.2301
O  0.8014  0.9103  0.4817
O  0.8381  0.4857  0.8437

***

# VCuBi2O7
Theoretical XRD peak list, copper Kα. Input: a cell relaxed with PBE+U.
Peak positions follow from Bragg's law for the DFT cell and can differ from measured ones.

The 10 most intense peaks (15° ≤ 2θ ≤ 90°), in order of rising 2θ:
| Position (°2θ) | I_rel |
| --- | --- |
| 16.14 | 70 |
| 23.91 | 22 |
| 24.32 | 67 |
| 27.45 | 34 |
| 29.64 | 100 |
| 32.61 | 28 |
| 33.04 | 33 |
| 34.12 | 32 |
| 34.33 | 32 |
| 42.78 | 26 |

Crystal structure
Unit cell a=6.0718 b=7.2533 c=7.8377 alpha=89.88 beta=72.58 gamma=72.28
Fractional coordinates of all 22 atoms:
V  0.1023  0.2235  0.0730
V  0.8977  0.7765  0.9270
Cu  0.0000  0.0000  0.5000
Cu  0.0000  0.5000  0.5000
Bi  0.4723  0.6319  0.2938
Bi  0.4810  0.8788  0.7230
Bi  0.5190  0.1212  0.2770
Bi  0.5277  0.3681  0.7062
O  0.0512  0.7370  0.4286
O  0.2208  0.1960  0.8349
O  0.2223  0.6976  0.8312
O  0.2301  0.3761  0.1479
O  0.2324  0.0006  0.1386
O  0.3277  0.9223  0.4820
O  0.3345  0.4119  0.4845
O  0.6655  0.5881  0.5155
O  0.6723  0.0777  0.5180
O  0.7676  0.9994  0.8614
O  0.7699  0.6239  0.8521
O  0.7777  0.3024  0.1688
O  0.7792  0.8040  0.1651
O  0.9488  0.2630  0.5714

***

Copy entry 1 word for word.
# Mn4Cu3BiO12
Theoretical XRD peak list, copper Kα. Input: a cell relaxed with PBE+U.
Peak positions follow from Bragg's law for the DFT cell and can differ from measured ones.

The 10 most intense peaks (15° ≤ 2θ ≤ 90°), in order of rising 2θ:
| Position (°2θ) | I_rel |
| --- | --- |
| 16.77 | 27 |
| 23.80 | 10 |
| 29.25 | 11 |
| 33.90 | 100 |
| 38.01 | 10 |
| 45.35 | 11 |
| 48.64 | 16 |
| 60.62 | 32 |
| 60.75 | 16 |
| 81.27 | 11 |

Crystal structure
Unit cell a=6.4765 b=6.4765 c=6.4765 alpha=109.68 beta=109.38 gamma=109.35
Fractional coordinates of all 20 atoms:
Mn  0.0000  0.0000  0.5000
Mn  0.0000  0.5000  0.0000
Mn  0.5000  0.0000  0.0000
Mn  0.5000  0.5000  0.5000
Cu  0.0000  0.0000  0.0000
Cu  0.5000  0.0000  0.5000
Cu  0.5000  0.5000  0.0000
Bi  0.0000  0.5000  0.5000
O  0.1383  0.8089  0.3295
O  0.1704  0.3612  0.1908
O  0.1704  0.9796  0.8092
O  0.3098  0.3300  0.6398
O  0.3098  0.6700  0.9797
O  0.4794  0.8089  0.6705
O  0.5206  0.1911  0.3295
O  0.6902  0.3300  0.0203
O  0.6902  0.6700  0.3602
O  0.8296  0.0204  0.1908
O  0.8296  0.6388  0.8092
O  0.8617  0.1911  0.6705

***

Which formula does entry 4 have? VCuBi2O7